Record 1
Diffraction record for RbThInO4. The XRD peak list is computed, not measured: it uses a cell relaxed with GGA-PBE and Cu Ka.
Peak positions follow from Bragg's law for the DFT cell and can differ from measured ones.

Structure:
Cell: 6.847 7.515 10.159 Å, 90.00 90.00 90.00°
Space group Imma (No. 74)
Symmetry-distinct sites (fractional):
Rb1 0.000 0.250 0.143
Th1 0.000 0.000 0.500
In1 0.250 0.250 0.750
O1 0.000 0.061 0.730
O2 0.202 0.250 0.517

Peak list (8 most intense, 15° ≤ 2θ ≤ 90°, low angle first)
15.61°, I 94.4, hkl 1 0 1
28.48°, I 100.0, hkl 1 2 1
29.43°, I 56.2, hkl 1 0 3
29.57°, I 56.6, hkl 0 2 2
30.00°, I 37.3, hkl 2 1 1
31.51°, I 35.8, hkl 2 0 2
35.47°, I 36.1, hkl 2 2 0
50.94°, I 58.1, hkl 2 2 4

=====

Record 2
Diffraction record for Rb4U3InO12. The XRD peak list is computed, not measured: it uses a cell relaxed with GGA-PBE and Cu Ka.
Peak positions follow from Bragg's law for the DFT cell and can differ from measured ones.

Structure:
Cell: 8.650 8.650 8.650 Å, 90.00 90.00 90.00°
Space group Im-3m (No. 229)
Symmetry-distinct sites (fractional):
Rb1 0.250 0.250 0.250
U1 0.000 0.000 0.500
In1 0.000 0.000 0.000
O1 0.000 0.000 0.263
O2 0.000 0.250 0.500

Peak list (8 most intense, 15° ≤ 2θ ≤ 90°, low angle first)
20.54°, I 26.9, hkl 2 0 0
29.20°, I 100.0, hkl 2 2 0
41.77°, I 29.3, hkl 4 0 0
46.98°, I 12.8, hkl 4 2 0
51.78°, I 41.9, hkl 4 2 2
60.55°, I 18.8, hkl 4 4 0
68.62°, I 18.8, hkl 6 2 0
83.66°, I 23.0, hkl 6 4 2